The following is a simulated PXRD pattern of Li3MnV3O8. It was derived from a crystal structure in the Materials Project, relaxed with GGA+U, using Cu Kα (weighted mean of Kα1 and Kα2).

The 12 most intense peaks (2θ = 5–70°), sorted by position:
hkl 1 0 0, 2θ = 18.18°, I 100
hkl 0 2 0, 2θ = 35.21°, I 23
hkl -2 1 3, 2θ = 35.30°, I 13
hkl 2 0 0, 2θ = 36.82°, I 9
hkl 0 2 2, 2θ = 42.82°, I 71
hkl 1 2 -2, 2θ = 46.81°, I 5
hkl 3 -2 2, 2θ = 56.54°, I 7
hkl 0 3 1, 2θ = 56.63°, I 8
hkl 2 0 4, 2θ = 62.02°, I 12
hkl 2 2 -2, 2θ = 62.12°, I 6
hkl -2 2 6, 2θ = 62.28°, I 19
hkl -2 3 5, 2θ = 65.51°, I 5

Atomic structure:
```
data_Li3MnV3O8
_chemical_formula_sum 'Li6 Mn2 V6 O16'
_symmetry_space_group_name_H-M 'P 1'
_symmetry_Int_Tables_number 1
_cell_length_a 5.9618
_cell_length_b 5.9644
_cell_length_c 10.3529
_cell_angle_alpha 90.25
_cell_angle_beta 106.54
_cell_angle_gamma 119.85
loop_
_symmetry_equiv_pos_as_xyz
'x,y,z'
loop_
_atom_site_label
_atom_site_type_symbol
_atom_site_fract_x
_atom_site_fract_y
_atom_site_fract_z
_atom_site_occupancy
Li1 Li 0.0000 0.0000 0.0000 1
Li2 Li 0.0023 0.2512 0.7514 1
Li3 Li 0.0041 0.7456 0.2485 1
Li4 Li 0.0061 0.5016 0.4998 1
Li5 Li 0.5041 0.4957 0.0007 1
Li6 Li 0.5067 0.0017 0.4998 1
Mn1 Mn 0.5012 0.7497 0.7504 1
Mn2 Mn 0.5061 0.2482 0.2497 1
V1 V 0.0013 0.7495 0.7499 1
V2 V 0.0062 0.2479 0.2512 1
V3 V 0.4990 0.9946 0.9999 1
V4 V 0.4996 0.2502 0.7484 1
V5 V 0.5042 0.4997 0.5002 1
V6 V 0.5063 0.7472 0.2512 1
O1 O 0.2582 0.1097 0.8712 1
O2 O 0.2669 0.6147 0.3719 1
O3 O 0.2671 0.6449 0.8628 1
O4 O 0.2706 0.3613 0.1410 1
O5 O 0.2734 0.8715 0.6408 1
O6 O 0.2822 0.1508 0.3684 1
O7 O 0.2838 0.4059 0.6350 1
O8 O 0.2896 0.8986 0.1393 1
O9 O 0.7166 0.0951 0.8650 1
O10 O 0.7220 0.5960 0.3610 1
O11 O 0.7291 0.6281 0.8587 1
O12 O 0.7315 0.8507 0.6354 1
O13 O 0.7336 0.3471 0.1337 1
O14 O 0.7404 0.1342 0.3599 1
O15 O 0.7439 0.8833 0.1290 1
O16 O 0.7461 0.3898 0.6283 1
```